For Pu3SnRu2, a structure optimized by DFT (GGA-PBE) gives the calculated powder X-ray diffraction pattern in this record (Cu Kα X-rays).
Neutral-atom scattering factors, no anomalous dispersion.

Most intense lines, 10° ≤ 2θ ≤ 90°, sorted by position:
| index | Position (°2θ) | d [Å] | intensity |
| --- | --- | --- | --- |
| 1 0 0 | 27.3 | 3.270 | 16 |
| 1 0 2 | 31.1 | 2.874 | 9 |
| 1 0 3 | 35.4 | 2.535 | 100 |
| 1 1 0 | 38.9 | 2.312 | 50 |
| 1 0 4 | 40.7 | 2.215 | 19 |
| 0 0 6 | 45.2 | 2.006 | 10 |
| 2 0 0 | 56.3 | 1.635 | 18 |
| 1 1 6 | 61.2 | 1.516 | 11 |
| 1 1 7 | 67.9 | 1.380 | 10 |
| 2 1 3 | 68.3 | 1.374 | 31 |

Structural model:
Cell: 3.270 3.270 12.044 Å, 90.00 90.00 90.00°
Positions (direct):
Pu1 0.000 0.000 0.000
Pu2 0.000 0.000 0.297
Pu3 0.000 0.000 0.703
Sn1 0.500 0.500 0.500
Ru1 0.500 0.500 0.145
Ru2 0.500 0.500 0.855